Simulated XRD peak list of BiH6Pd8 for copper Kα, from a DFT-relaxed cell (PBE, Alexandria).

Principal peaks in the range 5 to 70 degrees two-theta, in order of rising 2θ:
Position (°2θ)  intensity
12.76  94
32.50  60
34.21  53
37.45  1000
38.96  971
39.72  85
45.97  77
55.15  314
66.53  191
69.57  297

Structural model:
```
data_BiH6Pd8
_chemical_formula_sum 'Bi1 H6 Pd8'
_symmetry_space_group_name_H-M 'P -3'
_symmetry_Int_Tables_number 147
_cell_length_a 8.0079
_cell_length_b 8.0079
_cell_length_c 3.0016
_cell_angle_alpha 90.00
_cell_angle_beta 90.00
_cell_angle_gamma 120.00
loop_
_symmetry_equiv_pos_as_xyz
'x,y,z'
'-x,-y,-z'
'-y,x-y,z'
'y,-x+y,-z'
'-x+y,-x,z'
'x-y,x,-z'
loop_
_atom_site_label
_atom_site_fract_x
_atom_site_fract_y
_atom_site_fract_z
Bi1 0.0000 0.0000 0.0000
H1 0.1523 0.4465 0.1914
Pd1 0.0187 0.6749 0.3098
Pd2 0.3333 0.6667 0.8926
```